Simulated powder XRD pattern of AgN for Cu Kα (weighted mean of Kα1 and Kα2), from a DFT-relaxed cell (PBE, the Materials Project).
Intensities are scaled so that the largest is 100.

Structure:
```
data_AgN
_symmetry_space_group_name_H-M 'F -4 3 m'
_symmetry_Int_Tables_number 216
_symmetry_space_group_name_Hall 'F -4 2 3'
_cell_length_a 4.9497
_cell_length_b 4.9497
_cell_length_c 4.9497
_cell_angle_alpha 90.00
_cell_angle_beta 90.00
_cell_angle_gamma 90.00
loop_
_atom_site_label
_atom_site_type_symbol
_atom_site_fract_x
_atom_site_fract_y
_atom_site_fract_z
Ag1 Ag 0.0000 0.0000 0.0000
N1 N 0.2500 0.2500 0.7500
```

Principal peaks in the range 5 to 70 degrees two-theta, in order of rising 2θ:
31.30 deg, intensity 100; 36.30 deg, intensity 38; 52.28 deg, intensity 40; 62.20 deg, intensity 38; 65.30 deg, intensity 9